Structure and computed PXRD pattern of Li2Cu2F7 (a crystal structure in Alexandria, relaxed with PBE; Cu Kα X-rays).

Principal peaks in the range 2θ from 5° to 70°, most intense first:
(0 1 2), 2θ 21.5, 4.137 Å, rel. 100
(1 0 0), 2θ 22.6, 3.926 Å, rel. 56
(0 1 3), 2θ 26.4, 3.373 Å, rel. 41
(0 0 1), 2θ 6.8, 13.027 Å, rel. 33
(0 2 5), 2θ 48.8, 1.867 Å, rel. 29
(1 0 -1), 2θ 22.8, 3.906 Å, rel. 26
(2 0 -1), 2θ 45.8, 1.980 Å, rel. 24
(1 1 2), 2θ 32.8, 2.735 Å, rel. 14
(0 1 7), 2θ 52.0, 1.758 Å, rel. 14
(1 1 -3), 2θ 33.2, 2.700 Å, rel. 13

```
data_Li2Cu2F7
_cell_length_a 3.9614
_cell_length_b 5.3556
_cell_length_c 13.1443
_cell_angle_alpha 90.00
_cell_angle_beta 97.66
_cell_angle_gamma 90.00
_symmetry_space_group_name_H-M 'P 1'
_symmetry_Int_Tables_number 1
loop_
_symmetry_equiv_pos_as_xyz
'x,y,z'
loop_
_atom_site_label
_atom_site_fract_x
_atom_site_fract_y
_atom_site_fract_z
Li1 0.0622 0.0000 0.1588
Li2 0.3832 0.3796 0.4634
Li3 0.6168 0.8796 0.5366
Li4 0.9378 0.5000 0.8412
Cu1 0.3693 0.3538 0.6861
Cu2 0.4607 0.8845 0.8995
Cu3 0.5393 0.3845 0.1005
Cu4 0.6307 0.8538 0.3139
F1 0.0410 0.3392 0.1048
F2 0.1230 0.8697 0.2974
F3 0.3146 0.1392 0.5695
F4 0.3393 0.6177 0.5895
F5 0.4078 0.0740 0.7754
F6 0.4253 0.5685 0.8135
F7 0.4818 0.2065 0.9709
F8 0.5182 0.7065 0.0291
F9 0.5747 0.0685 0.1865
F10 0.5922 0.5740 0.2246
F11 0.6607 0.1177 0.4105
F12 0.6854 0.6392 0.4305
F13 0.8770 0.3697 0.7026
F14 0.9590 0.8392 0.8952
```